Simulated XRD peak list of Ca3Hf3TiAs8 for Cu Kα, 1.54184 Å, from a cell relaxed with PBE.
Kinematic intensities with the Lorentz-polarization factor, no thermal factor.

Top 12 peaks for 5 to 70 degrees two-theta, sorted by position:
| d/Å | I_rel |
| --- | --- |
| 6.892 | 52.2 |
| 5.629 | 9.2 |
| 3.312 | 14.8 |
| 2.814 | 100.0 |
| 2.217 | 15.5 |
| 2.048 | 36.1 |
| 1.937 | 34.4 |
| 1.865 | 11.6 |
| 1.723 | 5.9 |
| 1.640 | 8.5 |
| 1.597 | 11.8 |
| 1.407 | 10.5 |

Structural model:
a b c (Å): 7.7461 7.7461 8.2085
angles (deg): 118.05 118.05 60.07
Atoms (fractional coordinates):
Ca 0.0000 0.0000 0.0000
Ca 0.0000 0.5000 0.0000
Ca 0.5000 0.0000 0.0000
Hf 0.0000 0.5000 0.5000
Hf 0.5000 0.0000 0.5000
Hf 0.5000 0.5000 0.5000
Ti 0.0000 0.0000 0.5000
As 0.2371 0.2371 0.7173
As 0.2372 0.7430 0.7173
As 0.2570 0.7628 0.2827
As 0.2580 0.2580 0.2740
As 0.7420 0.7420 0.7260
As 0.7430 0.2372 0.7173
As 0.7628 0.2570 0.2827
As 0.7629 0.7629 0.2828

---

Simulated XRD peak list of Nd2Dy3In3 for Cu Kα, 1.54184 Å, from a cell relaxed with PBE.
Kinematic intensities with the Lorentz-polarization factor, no thermal factor.

Top 12 peaks for 5 to 70 degrees two-theta, sorted by position:
| d/Å | I_rel |
| --- | --- |
| 3.145 | 3.0 |
| 2.791 | 100.0 |
| 2.558 | 17.8 |
| 2.458 | 18.4 |
| 2.265 | 14.3 |
| 1.772 | 11.8 |
| 1.695 | 10.2 |
| 1.665 | 11.0 |
| 1.518 | 12.4 |
| 1.475 | 14.2 |
| 1.396 | 10.6 |
| 1.389 | 11.5 |

Structural model:
a b c (Å): 10.7620 10.7620 10.7620
angles (deg): 155.71 153.60 36.18
Atoms (fractional coordinates):
Nd 0.2392 0.2392 0.0000
Nd 0.7608 0.7608 0.0000
Dy 0.0000 0.0000 0.0000
Dy 0.3830 0.8830 0.5000
Dy 0.6170 0.1170 0.5000
In 0.1216 0.6216 0.5000
In 0.5000 0.5000 0.0000
In 0.8784 0.3784 0.5000

---

Simulated XRD peak list of Sm2HfTl3Te6 for Cu Kα, 1.54184 Å, from a cell relaxed with PBE.
Kinematic intensities with the Lorentz-polarization factor, no thermal factor.

Top 12 peaks for 5 to 70 degrees two-theta, sorted by position:
| d/Å | I_rel |
| --- | --- |
| 3.624 | 5.0 |
| 3.232 | 100.0 |
| 3.010 | 4.0 |
| 2.397 | 39.7 |
| 2.188 | 34.2 |
| 2.063 | 7.2 |
| 1.812 | 18.2 |
| 1.616 | 11.4 |
| 1.501 | 15.0 |
| 1.433 | 5.1 |
| 1.396 | 9.9 |
| 1.394 | 4.8 |

Structural model:
a b c (Å): 7.5761 7.5761 8.6304
angles (deg): 98.43 98.43 119.90
Atoms (fractional coordinates):
Sm 0.1655 0.8345 0.0000
Sm 0.8345 0.1655 0.0000
Hf 0.5000 0.5000 0.0000
Tl 0.0000 0.0000 0.5000
Tl 0.3261 0.6739 0.5000
Tl 0.6739 0.3261 0.5000
Te 0.1171 0.4296 0.7880
Te 0.2612 0.2612 0.2180
Te 0.4296 0.1171 0.7880
Te 0.5704 0.8829 0.2120
Te 0.7388 0.7388 0.7820
Te 0.8829 0.5704 0.2120

---

Simulated XRD peak list of VAg2Cl5 for Cu Kα, 1.54184 Å, from a cell relaxed with PBE.
Kinematic intensities with the Lorentz-polarization factor, no thermal factor.

Top 12 peaks for 5 to 70 degrees two-theta, sorted by position:
| d/Å | I_rel |
| --- | --- |
| 5.766 | 26.8 |
| 5.622 | 28.8 |
| 5.555 | 100.0 |
| 4.177 | 60.2 |
| 3.984 | 32.8 |
| 3.719 | 22.9 |
| 3.165 | 25.6 |
| 2.811 | 47.7 |
| 2.632 | 55.0 |
| 2.608 | 42.8 |
| 2.159 | 32.1 |
| 1.711 | 26.2 |

Structural model:
a b c (Å): 6.7333 6.7333 7.4528
angles (deg): 120.99 120.99 76.68
Atoms (fractional coordinates):
V 0.0000 0.0000 0.0000
Ag 0.4935 0.5065 0.5000
Ag 0.8530 0.1470 0.5000
Cl 0.0279 0.2826 0.9287
Cl 0.2317 0.2517 0.4245
Cl 0.2626 0.7374 0.0000
Cl 0.7174 0.9721 0.0713
Cl 0.7483 0.7683 0.5755

---

Simulated XRD peak list of Er2Sc2C2O for Cu Kα, 1.54184 Å, from a cell relaxed with PBE.
Kinematic intensities with the Lorentz-polarization factor, no thermal factor.

Top 12 peaks for 5 to 70 degrees two-theta, sorted by position:
| d/Å | I_rel |
| --- | --- |
| 5.193 | 100.0 |
| 3.229 | 26.0 |
| 3.110 | 75.4 |
| 2.851 | 53.1 |
| 2.644 | 35.9 |
| 2.596 | 39.6 |
| 2.373 | 55.7 |
| 2.269 | 39.1 |
| 2.212 | 52.9 |
| 1.967 | 36.4 |
| 1.902 | 16.7 |
| 1.581 | 15.6 |

Structural model:
a b c (Å): 6.1222 6.1222 6.4799
angles (deg): 117.25 117.25 30.88
Atoms (fractional coordinates):
Er 0.0179 0.0179 0.2457
Er 0.9821 0.9821 0.7543
Sc 0.2734 0.2734 0.2167
Sc 0.7266 0.7266 0.7833
C 0.3648 0.3648 0.9647
C 0.6352 0.6352 0.0353
O 0.5000 0.5000 0.5000